1.
Theoretical powder diffractogram
Compound: La5Nd12Dy2
Radiation: copper Kα
Structure: a structure optimized by DFT (GGA-PBE)
Neutral-atom scattering factors, no anomalous dispersion.

The 10 most intense peaks (10° ≤ 2θ ≤ 90°), by angle:
- d 2.987, intensity 100
- d 2.624, intensity 18
- d 2.601, intensity 17
- d 2.537, intensity 16
- d 1.847, intensity 12
- d 1.824, intensity 12
- d 1.576, intensity 15
- d 1.566, intensity 14
- d 1.538, intensity 13
- d 1.493, intensity 12

Cell and atoms:
abc: 13.9577 13.9577 13.9577
angles: 158.32 136.24 49.34
Fractional coordinates of all 19 atoms:
La (0.0000, 0.0000, 0.0000)
La (0.1984, 0.1984, 0.0000)
La (0.3017, 0.8017, 0.5000)
La (0.6983, 0.1983, 0.5000)
La (0.8016, 0.8016, 0.0000)
Nd (0.0574, 0.3036, 0.7538)
Nd (0.0988, 0.5988, 0.5000)
Nd (0.1615, 0.9051, 0.2564)
Nd (0.3514, 0.0949, 0.2564)
Nd (0.4044, 0.4044, 0.0000)
Nd (0.4502, 0.6964, 0.7538)
Nd (0.5498, 0.3036, 0.2462)
Nd (0.5956, 0.5956, 0.0000)
Nd (0.6486, 0.9051, 0.7436)
Nd (0.8385, 0.0949, 0.7436)
Nd (0.9012, 0.4012, 0.5000)
Nd (0.9426, 0.6964, 0.2462)
Dy (0.2336, 0.5000, 0.7336)
Dy (0.7664, 0.5000, 0.2664)

***

2.
Theoretical powder diffractogram
Compound: La4Nd5Dy3
Radiation: copper Kα
Structure: a structure optimized by DFT (GGA-PBE)
Neutral-atom scattering factors, no anomalous dispersion.

The 10 most intense peaks (10° ≤ 2θ ≤ 90°), by angle:
- d 3.173, intensity 32
- d 3.109, intensity 32
- d 3.037, intensity 100
- d 2.942, intensity 42
- d 2.896, intensity 45
- d 2.831, intensity 83
- d 2.797, intensity 29
- d 2.729, intensity 62
- d 2.113, intensity 34
- d 1.712, intensity 31

Cell and atoms:
abc: 8.8306 8.8306 9.5450
angles: 115.09 115.09 40.24
Fractional coordinates of all 12 atoms:
La (0.0837, 0.0837, 0.4402)
La (0.2177, 0.2177, 0.8770)
La (0.7823, 0.7823, 0.1230)
La (0.9163, 0.9163, 0.5598)
Nd (0.0000, 0.0000, 0.0000)
Nd (0.3291, 0.3291, 0.6107)
Nd (0.4259, 0.4259, 0.2969)
Nd (0.5741, 0.5741, 0.7031)
Nd (0.6709, 0.6709, 0.3893)
Dy (0.2091, 0.2091, 0.2269)
Dy (0.5000, 0.5000, 0.0000)
Dy (0.7909, 0.7909, 0.7731)

***

> What is the formula in the second record?

La4Nd5Dy3